Starting from a structure optimized by DFT (GGA-PBE), the powder X-ray diffraction pattern of Li2AlGaCu2Au2 was computed for Cu Kα.

Crystal structure
```
Li2AlGaCu2Au2
1.0
4.333 0.000 0.000
0.000 4.333 0.000
0.000 0.000 6.124
Li Al Ga Cu Au
2 1 1 2 2
Cartesian
0.000 0.000 0.000 Li
2.167 2.167 3.062 Li
0.000 0.000 3.062 Al
2.167 2.167 0.000 Ga
0.000 2.167 4.584 Cu
2.167 0.000 1.540 Cu
0.000 2.167 1.583 Au
2.167 0.000 4.542 Au
```

Top 10 peaks for 15 to 90 degrees two-theta, in order of rising 2θ:
- 2θ = 25.18°, rel. 43.8
- 2θ = 29.15°, rel. 56.2
- 2θ = 41.70°, rel. 100.0
- 2θ = 49.33°, rel. 22.7
- 2θ = 51.68°, rel. 15.4
- 2θ = 60.44°, rel. 16.4
- 2θ = 66.53°, rel. 9.6
- 2θ = 68.49°, rel. 19.6
- 2θ = 76.11°, rel. 33.1
- 2θ = 81.66°, rel. 7.7